This entry pairs a crystal structure of Ba2EuCoCu2O7 with its simulated powder XRD pattern. Radiation: copper Kα. Structure: DFT lattice parameters and positions (PBE+U).
Kinematic intensities with the Lorentz-polarization factor, no thermal factor.

Cell and atoms:
```
data_Ba2EuCoCu2O7
_chemical_formula_sum 'Ba2 Eu1 Co1 Cu2 O7'
_symmetry_space_group_name_H-M 'P m m m'
_symmetry_Int_Tables_number 47
_cell_length_a 3.8915
_cell_length_b 3.9192
_cell_length_c 11.9714
_cell_angle_alpha 90.00
_cell_angle_beta 90.00
_cell_angle_gamma 90.00
loop_
_symmetry_equiv_pos_as_xyz
'x,y,z'
'-x,-y,-z'
'-x,-y,z'
'x,y,-z'
'x,-y,-z'
'-x,y,z'
'-x,y,-z'
'x,-y,z'
loop_
_atom_site_label
_atom_site_type_symbol
_atom_site_fract_x
_atom_site_fract_y
_atom_site_fract_z
Ba1 Ba 0.0000 0.0000 0.1846
Eu1 Eu 0.0000 0.0000 0.5000
Co1 Co 0.5000 0.5000 0.0000
Cu1 Cu 0.5000 0.5000 0.3571
O1 O 0.0000 0.5000 0.3710
O2 O 0.5000 0.0000 0.0000
O3 O 0.5000 0.0000 0.3718
O4 O 0.5000 0.5000 0.1497
```

Peak list (12 most intense, 2θ from 5° to 70°, low angle first)
2θ/deg, I (rel.), h k l
7.38, 26, 0 0 1
32.01, 89, 0 1 3
32.13, 100, 1 0 3
32.42, 95, 1 1 0
39.69, 33, 1 1 3
45.46, 18, 0 0 6
46.33, 28, 0 2 0
46.68, 28, 2 0 0
56.94, 30, 1 1 6
57.50, 37, 1 2 3
57.72, 33, 2 1 3
67.88, 17, 2 2 0